(1)
Starting from a structure optimized by DFT (GGA-PBE), the XRD peak list of LiAlPt was simulated for λ = 1.5418 Å (Cu Kα).
Kinematic intensities with the Lorentz-polarization factor, no thermal factor.

Structural model:
Cell lengths 8.617, 4.369, 5.123 Å; angles 90.00, 118.79, 90.00 degrees
Atoms (fractional coordinates):
1 Li 0.006 0.000 0.254
2 Li 0.494 0.500 0.746
3 Li 0.506 0.500 0.254
4 Li 0.994 0.000 0.746
5 Al 0.172 0.500 0.766
6 Al 0.328 0.000 0.234
7 Al 0.672 0.000 0.766
8 Al 0.828 0.500 0.234
9 Pt 0.174 0.500 0.261
10 Pt 0.326 0.000 0.739
11 Pt 0.674 0.000 0.261
12 Pt 0.826 0.500 0.739

Principal peaks in the range 10 to 90 degrees two-theta, most intense first:
2θ/deg  I_rel
41.37  100
23.54  96
26.91  83
22.30  64
44.20  56
34.50  50
40.17  36
59.00  24
41.53  20
47.46  18

(2)
Starting from a structure optimized by DFT (GGA-PBE), the XRD peak list of LaGa3Rh was simulated for λ = 1.5418 Å (Cu Kα).
Kinematic intensities with the Lorentz-polarization factor, no thermal factor.

Structural model:
Cell lengths 4.293, 6.767, 7.214 Å; angles 90.00, 92.10, 90.00 degrees
Atoms (fractional coordinates):
1 La 0.236 0.250 0.318
2 La 0.764 0.750 0.682
3 Ga 0.253 0.750 0.369
4 Ga 0.280 0.059 0.847
5 Ga 0.280 0.441 0.847
6 Ga 0.720 0.559 0.153
7 Ga 0.720 0.941 0.153
8 Ga 0.747 0.250 0.631
9 Rh 0.206 0.750 0.024
10 Rh 0.794 0.250 0.976

Principal peaks in the range 10 to 90 degrees two-theta, most intense first:
2θ/deg  I_rel
35.73  100
46.34  50
33.04  42
42.13  42
36.30  40
26.34  34
12.28  32
31.84  30
34.55  27
28.05  17

(3)
Starting from a structure optimized by DFT (GGA-PBE), the XRD peak list of YCd2Pb2 was simulated for λ = 1.5418 Å (Cu Kα).
Kinematic intensities with the Lorentz-polarization factor, no thermal factor.

Structural model:
Cell lengths 12.534, 12.534, 4.619 Å; angles 90.00, 90.00, 159.01 degrees
Atoms (fractional coordinates):
1 Y 0.144 0.856 0.750
2 Y 0.856 0.144 0.250
3 Cd 0.041 0.959 0.250
4 Cd 0.456 0.544 0.250
5 Cd 0.544 0.456 0.750
6 Cd 0.959 0.041 0.750
7 Pb 0.249 0.751 0.250
8 Pb 0.366 0.634 0.750
9 Pb 0.634 0.366 0.250
10 Pb 0.751 0.249 0.750

Principal peaks in the range 10 to 90 degrees two-theta, most intense first:
2θ/deg  I_rel
33.03  100
39.00  17
39.47  17
36.45  14
66.88  13
67.52  13
56.69  12
29.58  10
54.44  9
54.81  9

(4)
Starting from a structure optimized by DFT (GGA-PBE), the XRD peak list of SmHoTh2Bi5 was simulated for λ = 1.5418 Å (Cu Kα).
Kinematic intensities with the Lorentz-polarization factor, no thermal factor.

Structural model:
Cell lengths 5.495, 5.495, 11.733 Å; angles 90.00, 90.00, 90.00 degrees
Atoms (fractional coordinates):
1 Sm 0.000 0.000 0.000
2 Ho 0.000 0.000 0.500
3 Th 0.500 0.500 0.200
4 Th 0.500 0.500 0.800
5 Bi 0.000 0.000 0.255
6 Bi 0.000 0.000 0.745
7 Bi 0.000 0.500 0.000
8 Bi 0.500 0.000 0.000
9 Bi 0.500 0.500 0.500

Principal peaks in the range 10 to 90 degrees two-theta, most intense first:
2θ/deg  I_rel
32.59  100
22.89  70
45.22  58
32.48  57
27.54  42
30.48  41
46.76  37
24.13  34
28.00  32
56.85  29

(5)
Starting from a structure optimized by DFT (GGA-PBE), the XRD peak list of La8YCo2 was simulated for λ = 1.5418 Å (Cu Kα).
Kinematic intensities with the Lorentz-polarization factor, no thermal factor.

Structural model:
Cell lengths 7.593, 7.593, 7.359 Å; angles 105.91, 105.91, 68.75 degrees
Atoms (fractional coordinates):
1 La 0.085 0.693 0.688
2 La 0.182 0.182 0.829
3 La 0.307 0.915 0.312
4 La 0.371 0.371 0.326
5 La 0.629 0.629 0.674
6 La 0.693 0.085 0.688
7 La 0.818 0.818 0.171
8 La 0.915 0.307 0.312
9 Y 0.500 0.500 0.000
10 Co 0.312 0.312 0.620
11 Co 0.688 0.688 0.380

Principal peaks in the range 10 to 90 degrees two-theta, most intense first:
2θ/deg  I_rel
26.38  100
30.98  79
31.38  58
25.67  42
28.63  35
50.04  31
38.54  30
32.62  30
32.22  30
30.24  29

(6)
Starting from a structure optimized by DFT (GGA-PBE), the XRD peak list of Tb3Tm8Sc4 was simulated for λ = 1.5418 Å (Cu Kα).
Kinematic intensities with the Lorentz-polarization factor, no thermal factor.

Structural model:
Cell lengths 8.782, 8.782, 6.557 Å; angles 109.37, 109.37, 84.13 degrees
Atoms (fractional coordinates):
1 Tb 0.000 0.000 0.000
2 Tb 0.000 0.500 0.500
3 Tb 0.500 0.000 0.500
4 Tm 0.203 0.203 0.669
5 Tm 0.203 0.797 0.500
6 Tm 0.260 0.740 0.000
7 Tm 0.264 0.264 0.203
8 Tm 0.736 0.736 0.797
9 Tm 0.740 0.260 0.000
10 Tm 0.797 0.203 0.500
11 Tm 0.797 0.797 0.331
12 Sc 0.000 0.500 0.000
13 Sc 0.500 0.000 0.000
14 Sc 0.500 0.500 0.000
15 Sc 0.500 0.500 0.500

Principal peaks in the range 10 to 90 degrees two-theta, most intense first:
2θ/deg  I_rel
30.40  100
30.66  78
34.15  61
35.72  56
21.44  46
43.71  45
27.25  38
31.41  26
10.68  24
28.89  19

(7)
Starting from a structure optimized by DFT (GGA-PBE), the XRD peak list of TlHO2 was simulated for λ = 1.5418 Å (Cu Kα).
Kinematic intensities with the Lorentz-polarization factor, no thermal factor.

Structural model:
Cell lengths 5.792, 5.656, 5.704 Å; angles 90.00, 90.00, 90.00 degrees
Atoms (fractional coordinates):
1 Tl 0.181 0.015 0.000
2 Tl 0.319 0.515 0.500
3 Tl 0.681 0.485 0.000
4 Tl 0.819 0.985 0.500
5 H 0.122 0.545 0.102
6 H 0.378 0.045 0.602
7 H 0.622 0.955 0.102
8 H 0.878 0.455 0.602
9 O 0.002 0.334 0.638
10 O 0.159 0.860 0.632
11 O 0.341 0.360 0.132
12 O 0.498 0.834 0.138
13 O 0.502 0.166 0.638
14 O 0.659 0.640 0.632
15 O 0.841 0.140 0.132
16 O 0.998 0.666 0.138

Principal peaks in the range 10 to 90 degrees two-theta, most intense first:
2θ/deg  I_rel
27.01  100
31.37  23
31.64  19
53.23  18
34.74  18
21.96  18
47.69  17
53.58  17
45.15  17
49.91  14

(8)
Starting from a structure optimized by DFT (GGA-PBE), the XRD peak list of NaB2C2O7 was simulated for λ = 1.5418 Å (Cu Kα).
Kinematic intensities with the Lorentz-polarization factor, no thermal factor.

Structural model:
Cell lengths 7.816, 7.816, 7.816 Å; angles 32.43, 32.43, 32.43 degrees
Atoms (fractional coordinates):
1 Na 0.000 0.000 0.000
2 B 0.438 0.438 0.438
3 B 0.562 0.562 0.562
4 C 0.246 0.246 0.246
5 C 0.754 0.754 0.754
6 O 0.066 0.472 0.692
7 O 0.308 0.528 0.934
8 O 0.472 0.692 0.066
9 O 0.500 0.500 0.500
10 O 0.528 0.934 0.308
11 O 0.692 0.066 0.472
12 O 0.934 0.308 0.528

Principal peaks in the range 10 to 90 degrees two-theta, most intense first:
2θ/deg  I_rel
28.57  100
24.06  88
48.41  57
41.36  38
40.32  25
49.26  22
23.87  18
48.87  12
75.42  12
37.00  11

(9)
Starting from a structure optimized by DFT (GGA-PBE), the XRD peak list of LaPr2Er7 was simulated for λ = 1.5418 Å (Cu Kα).
Kinematic intensities with the Lorentz-polarization factor, no thermal factor.

Structural model:
Cell lengths 5.490, 7.061, 9.489 Å; angles 111.77, 106.80, 90.02 degrees
Atoms (fractional coordinates):
1 La 0.000 0.000 0.000
2 Pr 0.198 0.699 0.398
3 Pr 0.802 0.301 0.602
4 Er 0.000 0.500 0.000
5 Er 0.202 0.201 0.402
6 Er 0.392 0.144 0.784
7 Er 0.392 0.640 0.785
8 Er 0.608 0.360 0.215
9 Er 0.608 0.856 0.216
10 Er 0.798 0.799 0.598

Principal peaks in the range 10 to 90 degrees two-theta, most intense first:
2θ/deg  I_rel
31.28  100
30.57  89
32.62  46
33.19  42
47.23  32
61.74  22
58.53  18
57.38  18
34.20  15
56.95  15